Computed XRD peak list of Na2TaSi2GePO12 for CuKα, from a DFT-relaxed cell (PBE, the Materials Project).
Lines closer than 0.1° are merged.

Principal peaks in the range 2θ from 15° to 90°, low angle first:
d 4.504, intensity 36; d 4.455, intensity 54; d 4.392, intensity 100; d 3.144, intensity 31; d 2.842, intensity 27; d 2.536, intensity 45

Structural model:
```
data_Na2TaSi2GePO12
_space_group_name_H-M_alt 'P 1'
_space_group_IT_number 1
_space_group_name_Hall 'P 1'
_cell_length_a 8.786
_cell_length_b 8.786
_cell_length_c 9.009
_cell_angle_alpha 119.89
_cell_angle_beta 119.89
_cell_angle_gamma 59.97
loop_
_atom_site_label
_atom_site_fract_x
_atom_site_fract_y
_atom_site_fract_z
Na1 0.062 0.938 0.500
Na2 0.335 0.805 0.238
Na3 0.805 0.335 0.738
Na4 0.938 0.062 0.000
Ta1 0.461 0.961 0.682
Ta2 0.961 0.461 0.182
Si1 0.055 0.291 0.502
Si2 0.291 0.055 0.002
Si3 0.780 0.862 0.504
Si4 0.862 0.780 0.004
Ge1 0.165 0.675 0.813
Ge2 0.675 0.165 0.313
P1 0.362 0.556 0.507
P2 0.556 0.362 0.007
O1 0.032 0.306 0.317
O2 0.046 0.759 0.982
O3 0.092 0.471 0.678
O4 0.095 0.232 0.020
O5 0.185 0.536 0.336
O6 0.232 0.095 0.520
O7 0.262 0.874 0.982
O8 0.306 0.032 0.817
O9 0.333 0.589 0.676
O10 0.376 0.733 0.518
O11 0.390 0.537 0.982
O12 0.471 0.092 0.178
O13 0.536 0.185 0.836
O14 0.537 0.390 0.482
O15 0.589 0.333 0.176
O16 0.590 0.883 0.516
O17 0.677 0.820 0.829
O18 0.733 0.376 0.018
O19 0.759 0.046 0.482
O20 0.820 0.677 0.329
O21 0.840 0.965 0.186
O22 0.874 0.262 0.482
O23 0.883 0.590 0.016
O24 0.965 0.840 0.686
```